1.
This entry pairs a crystal structure of Be2Ag with its computed powder XRD pattern. Radiation: a wavelength of 1.5418 Å. Structure: a structure optimized by DFT (PBE).
Lines closer than 0.1° are merged.

Atomic structure:
```
Be2Ag
1.0
3.360 0.000 0.000
0.000 3.360 0.000
0.000 0.000 6.141
Be Ag
4 2
Direct
0.250 0.250 0.248
0.250 0.750 0.000
0.750 0.250 0.000
0.750 0.750 0.752
0.250 0.250 0.663
0.750 0.750 0.337
```

Main lines, in order of rising 2θ (10° ≤ 2θ ≤ 80°):
(0 0 1), d = 6.141 Å, rel. 46; (1 0 1), d = 2.948 Å, rel. 100; (1 1 0), d = 2.376 Å, rel. 43; (1 0 2), d = 2.267 Å, rel. 58; (1 1 1), d = 2.216 Å, rel. 23; (0 0 3), d = 2.047 Å, rel. 15; (2 0 0), d = 1.680 Å, rel. 17; (1 1 3), d = 1.551 Å, rel. 19; (2 1 1), d = 1.460 Å, rel. 22; (2 1 2), d = 1.350 Å, rel. 21



2.
This entry pairs a crystal structure of CsS4 with its computed powder XRD pattern. Radiation: a wavelength of 1.5418 Å. Structure: a structure optimized by DFT (PBE).
Lines closer than 0.1° are merged.

Atomic structure:
```
CsS4
1.0
5.114 0.000 0.000
0.001 5.421 0.000
2.311 0.124 5.752
Cs S
1 4
Direct
0.000 0.000 0.000
0.322 0.688 0.384
0.332 0.332 0.365
0.668 0.668 0.635
0.678 0.312 0.616
```

Main lines, in order of rising 2θ (10° ≤ 2θ ≤ 80°):
(0 1 1), d = 3.988 Å, rel. 79; (0 1 -1), d = 3.903 Å, rel. 80; (1 -1 0), d = 3.584 Å, rel. 49; (1 1 0), d = 3.556 Å, rel. 55; (1 1 1), d = 3.522 Å, rel. 41; (1 -1 1), d = 3.489 Å, rel. 46; (1 0 -1), d = 3.132 Å, rel. 100; (1 0 2), d = 3.006 Å, rel. 83; (2 0 1), d = 2.554 Å, rel. 57; (1 2 0), d = 2.345 Å, rel. 34